1.
Structure and calculated X-ray diffraction stick pattern of Ac5Mg2Cd12 (a DFT-relaxed cell (PBE, Alexandria); CuKα).

Atomic structure:
```
data_Ac5Mg2Cd12
_space_group_name_H-M_alt 'C 1 2/m 1'
_space_group_IT_number 12
_space_group_name_Hall '-C 2y'
_cell_length_a 18.611
_cell_length_b 7.789
_cell_length_c 7.522
_cell_angle_alpha 90.00
_cell_angle_beta 94.76
_cell_angle_gamma 90.00
loop_
_atom_site_label
_atom_site_fract_x
_atom_site_fract_y
_atom_site_fract_z
Ac1 0.000 0.000 0.000
Ac2 0.202 0.500 0.555
Ac3 0.242 0.000 0.916
Mg1 0.000 0.286 0.500
Cd1 0.045 0.500 0.188
Cd2 0.104 0.000 0.581
Cd3 0.104 0.309 0.850
Cd4 0.143 0.196 0.250
```

Largest 10 diffraction maxima, by intensity, 2θ = 15–90°:
- 2θ 30.0, d 2.978, intensity 100, hkl 5 1 1
- 2θ 29.2, d 3.062, intensity 49, hkl 3 1 -2
- 2θ 31.7, d 2.823, intensity 46, hkl 4 2 -1
- 2θ 33.2, d 2.701, intensity 25, hkl 0 2 2
- 2θ 35.2, d 2.552, intensity 22, hkl 2 2 2
- 2θ 39.7, d 2.269, intensity 21, hkl 8 0 -1
- 2θ 27.2, d 3.280, intensity 19, hkl 1 1 2
- 2θ 61.9, d 1.499, intensity 19, hkl 3 3 -4
- 2θ 42.9, d 2.109, intensity 17, hkl 1 3 2
- 2θ 22.8, d 3.894, intensity 15, hkl 0 2 0

---

2.
Structure and calculated X-ray diffraction stick pattern of Ac2MgCd4 (a DFT-relaxed cell (PBE, Alexandria); CuKα).

Atomic structure:
```
data_Ac2MgCd4
_space_group_name_H-M_alt 'R -3 m'
_space_group_IT_number 166
_space_group_name_Hall '-R 3 2"'
_cell_length_a 4.8508
_cell_length_b 4.8508
_cell_length_c 33.0656
_cell_angle_alpha 90.00
_cell_angle_beta 90.00
_cell_angle_gamma 120.00
loop_
_atom_site_label
_atom_site_fract_x
_atom_site_fract_y
_atom_site_fract_z
Ac1 0.0000 0.0000 0.2502
Mg1 0.0000 0.0000 0.0000
Cd1 0.0000 0.0000 0.1464
Cd2 0.0000 0.0000 0.3583
```

Largest 10 diffraction maxima, by intensity, 2θ = 15–90°:
- 2θ 21.8, d 4.072, intensity 100, hkl 0 1 2
- 2θ 30.3, d 2.946, intensity 87, hkl 0 1 8
- 2θ 37.1, d 2.425, intensity 82, hkl 1 1 0
- 2θ 34.5, d 2.598, intensity 82, hkl 1 0 10
- 2θ 51.5, d 1.773, intensity 26, hkl 0 2 10
- 2θ 65.2, d 1.431, intensity 26, hkl 2 1 10
- 2θ 63.5, d 1.464, intensity 24, hkl 1 1 18
- 2θ 48.6, d 1.873, intensity 24, hkl 2 0 8
- 2θ 62.7, d 1.482, intensity 22, hkl 1 2 8
- 2θ 43.4, d 2.084, intensity 17, hkl 2 0 2

---

3.
Structure and calculated X-ray diffraction stick pattern of AcMg7Cd5 (a DFT-relaxed cell (PBE, Alexandria); CuKα).

Atomic structure:
```
data_AcMg7Cd5
_space_group_name_H-M_alt 'I m m 2'
_space_group_IT_number 44
_space_group_name_Hall 'I 2 -2'
_cell_length_a 5.993
_cell_length_b 10.150
_cell_length_c 10.118
_cell_angle_alpha 90.00
_cell_angle_beta 90.00
_cell_angle_gamma 90.00
loop_
_atom_site_label
_atom_site_fract_x
_atom_site_fract_y
_atom_site_fract_z
Ac1 0.000 0.000 0.000
Mg1 0.000 0.000 0.354
Mg2 0.000 0.000 0.648
Mg3 0.000 0.284 0.498
Mg4 0.000 0.353 0.002
Mg5 0.000 0.500 0.722
Cd1 0.000 0.500 0.289
Cd2 0.250 0.247 0.248
```

Largest 10 diffraction maxima, by intensity, 2θ = 15–90°:
- 2θ 34.8, d 2.579, intensity 100, hkl 2 2 0
- 2θ 35.3, d 2.545, intensity 59, hkl 1 3 2
- 2θ 24.6, d 3.614, intensity 58, hkl 1 1 2
- 2θ 24.9, d 3.583, intensity 51, hkl 0 2 2
- 2θ 50.5, d 1.807, intensity 46, hkl 2 2 4
- 2θ 35.4, d 2.537, intensity 33, hkl 0 4 0
- 2θ 35.5, d 2.529, intensity 30, hkl 0 0 4
- 2θ 39.2, d 2.299, intensity 26, hkl 2 2 2
- 2θ 17.5, d 5.061, intensity 23, hkl 0 0 2
- 2θ 30.4, d 2.941, intensity 23, hkl 1 0 3

---

4.
Structure and calculated X-ray diffraction stick pattern of Ac2Mg2Cd3 (a DFT-relaxed cell (PBE, Alexandria); CuKα).

Atomic structure:
```
data_Ac2Mg2Cd3
_space_group_name_H-M_alt 'C m c m'
_space_group_IT_number 63
_space_group_name_Hall '-C 2c 2'
_cell_length_a 4.780
_cell_length_b 21.292
_cell_length_c 8.185
_cell_angle_alpha 90.00
_cell_angle_beta 90.00
_cell_angle_gamma 90.00
loop_
_atom_site_label
_atom_site_fract_x
_atom_site_fract_y
_atom_site_fract_z
Ac1 0.000 0.060 0.250
Ac2 0.000 0.153 0.750
Mg1 0.000 0.308 0.559
Cd1 0.000 0.227 0.250
Cd2 0.000 0.440 0.070
```

Largest 10 diffraction maxima, by intensity, 2θ = 15–90°:
- 2θ 30.2, d 2.964, intensity 100, hkl 1 5 1
- 2θ 29.0, d 3.076, intensity 72, hkl 1 1 2
- 2θ 37.6, d 2.390, intensity 26, hkl 2 0 0
- 2θ 37.0, d 2.428, intensity 25, hkl 0 4 3
- 2θ 21.7, d 4.092, intensity 20, hkl 0 0 2
- 2θ 53.8, d 1.703, intensity 17, hkl 2 4 3
- 2θ 27.4, d 3.255, intensity 16, hkl 0 6 1
- 2θ 64.0, d 1.455, intensity 15, hkl 1 5 5
- 2θ 41.8, d 2.163, intensity 14, hkl 0 6 3
- 2θ 22.4, d 3.965, intensity 13, hkl 1 3 0

---

5.
Structure and calculated X-ray diffraction stick pattern of AcMg10Cd2 (a DFT-relaxed cell (PBE, Alexandria); CuKα).

Atomic structure:
```
data_AcMg10Cd2
_space_group_name_H-M_alt 'F m m m'
_space_group_IT_number 69
_space_group_name_Hall '-F 2 2'
_cell_length_a 6.041
_cell_length_b 14.466
_cell_length_c 14.491
_cell_angle_alpha 90.00
_cell_angle_beta 90.00
_cell_angle_gamma 90.00
loop_
_atom_site_label
_atom_site_fract_x
_atom_site_fract_y
_atom_site_fract_z
Ac1 0.000 0.000 0.000
Mg1 0.000 0.110 0.393
Mg2 0.000 0.178 0.175
Mg3 0.250 0.000 0.250
Cd1 0.250 0.250 0.000
```

Largest 10 diffraction maxima, by intensity, 2θ = 15–90°:
- 2θ 34.5, d 2.601, intensity 100, hkl 2 2 2
- 2θ 24.4, d 3.649, intensity 72, hkl 1 3 1
- 2θ 34.9, d 2.570, intensity 72, hkl 1 5 1
- 2θ 17.0, d 5.203, intensity 57, hkl 1 1 1
- 2θ 35.1, d 2.559, intensity 57, hkl 0 4 4
- 2θ 24.6, d 3.620, intensity 57, hkl 0 4 0
- 2θ 27.6, d 3.236, intensity 47, hkl 0 4 2
- 2θ 50.0, d 1.824, intensity 44, hkl 2 6 2
- 2θ 30.1, d 2.971, intensity 43, hkl 1 3 3
- 2θ 40.9, d 2.209, intensity 34, hkl 2 2 4

---

6.
Structure and calculated X-ray diffraction stick pattern of Ac3Mg2Cd2 (a DFT-relaxed cell (PBE, Alexandria); CuKα).

Atomic structure:
```
data_Ac3Mg2Cd2
_space_group_name_H-M_alt 'P -1'
_space_group_IT_number 2
_space_group_name_Hall '-P 1'
_cell_length_a 5.389
_cell_length_b 6.600
_cell_length_c 7.396
_cell_angle_alpha 103.53
_cell_angle_beta 90.04
_cell_angle_gamma 114.00
loop_
_atom_site_label
_atom_site_fract_x
_atom_site_fract_y
_atom_site_fract_z
Ac1 0.000 0.000 0.000
Ac2 0.341 0.684 0.243
Mg1 0.346 0.691 0.734
Cd1 0.111 0.220 0.458
```

Largest 10 diffraction maxima, by intensity, 2θ = 15–90°:
- 2θ 32.6, d 2.749, intensity 100, hkl -1 1 2
- 2θ 28.3, d 3.152, intensity 78, hkl 1 -2 0
- 2θ 29.3, d 3.046, intensity 76, hkl 1 -1 2
- 2θ 20.9, d 4.256, intensity 75, hkl 1 0 -1
- 2θ 33.2, d 2.695, intensity 66, hkl 2 -1 0
- 2θ 30.0, d 2.979, intensity 51, hkl 0 2 -1
- 2θ 28.5, d 3.134, intensity 46, hkl 1 -2 1
- 2θ 22.0, d 4.039, intensity 45, hkl 0 1 1
- 2θ 47.1, d 1.929, intensity 40, hkl -1 3 1
- 2θ 23.1, d 3.849, intensity 38, hkl 1 0 1